For K3RbHg6, a crystal structure in Alexandria, relaxed with PBE gives the calculated powder X-ray diffraction pattern in this record (CuKα).
Lines closer than 0.1° are merged.

Peak list (10 most intense, 2θ = 10–90°, sorted by position)
| Position (°2θ) | d_spacing | Rel. int. |
| --- | --- | --- |
| 16.0 | 5.550 | 59 |
| 19.9 | 4.463 | 70 |
| 20.5 | 4.333 | 35 |
| 28.7 | 3.109 | 100 |
| 32.3 | 2.775 | 37 |
| 33.4 | 2.682 | 25 |
| 35.9 | 2.502 | 63 |
| 38.5 | 2.336 | 43 |
| 41.4 | 2.182 | 29 |
| 49.3 | 1.850 | 22 |

Structure:
abc: 9.584 9.584 9.584
angles: 103.10 103.10 103.10
Element x y z (fractional)
K 0.161 0.750 0.339
K 0.250 0.661 0.839
K 0.339 0.161 0.750
K 0.661 0.839 0.250
K 0.750 0.339 0.161
K 0.839 0.250 0.661
Rb 0.000 0.000 0.000
Rb 0.500 0.500 0.500
Hg 0.064 0.088 0.404
Hg 0.088 0.404 0.064
Hg 0.096 0.412 0.436
Hg 0.404 0.064 0.088
Hg 0.412 0.436 0.096
Hg 0.436 0.096 0.412
Hg 0.564 0.904 0.588
Hg 0.588 0.564 0.904
Hg 0.596 0.936 0.912
Hg 0.904 0.588 0.564
Hg 0.912 0.596 0.936
Hg 0.936 0.912 0.596